Diffraction record for Ba3ReN3. The powder XRD pattern is theoretical, not measured: it uses DFT lattice parameters and positions (PBE) and copper Kα.

Top 12 peaks for 2θ = 10–80°, by angle:
12.34 deg, I = 19, hkl 1 0 0
24.84 deg, I = 22, hkl 2 0 0
26.49 deg, I = 39, hkl 1 1 1
29.32 deg, I = 100, hkl 2 0 1
30.96 deg, I = 38, hkl 0 0 2
33.05 deg, I = 24, hkl 1 2 0
36.63 deg, I = 16, hkl 1 2 1
37.64 deg, I = 14, hkl 3 0 0
45.92 deg, I = 18, hkl 1 2 2
49.50 deg, I = 13, hkl 3 0 2
54.05 deg, I = 18, hkl 2 0 3
58.33 deg, I = 17, hkl 2 3 1

Atomic structure:
```
data_Ba3ReN3
_symmetry_space_group_name_H-M 'P 63/m'
_symmetry_Int_Tables_number 176
_symmetry_space_group_name_Hall '-P 6c'
_cell_length_a 8.2792
_cell_length_b 8.2792
_cell_length_c 5.7777
_cell_angle_alpha 90.00
_cell_angle_beta 90.00
_cell_angle_gamma 120.00
loop_
_atom_site_label
_atom_site_type_symbol
_atom_site_fract_x
_atom_site_fract_y
_atom_site_fract_z
_atom_site_occupancy
Ba1 Ba 0.1003 0.3601 0.2500 1
Re1 Re 0.3333 0.6667 0.7500 1
N1 N 0.1184 0.4368 0.7500 1
```